This entry pairs a crystal structure of Pa2Zn3Sn with its calculated X-ray diffraction stick pattern. Radiation: Cu Kα, 1.54184 Å. Structure: a structure optimized by DFT (GGA-PBE).

Most intense lines, 5° ≤ 2θ ≤ 70°, sorted by position:
21.52°, 4.130 Å, I 36; 35.62°, 2.521 Å, I 100; 37.73°, 2.384 Å, I 69; 43.84°, 2.065 Å, I 6; 52.82°, 1.733 Å, I 11; 52.87°, 1.732 Å, I 22; 57.96°, 1.591 Å, I 6; 62.56°, 1.485 Å, I 4; 66.75°, 1.401 Å, I 32; 68.11°, 1.377 Å, I 12

Structure:
Cell lengths 9.5410, 8.8570, 5.7304 Å; angles 78.49, 65.46, 36.05 degrees
Sites, in units of the cell vectors:
Pa: 0.2346 0.7654 0.7654
Pa: 0.2500 0.2500 0.2500
Pa: 0.7500 0.7500 0.7500
Pa: 0.7654 0.2346 0.2346
Zn: 0.1625 0.1625 0.8375
Zn: 0.1652 0.6740 0.3260
Zn: 0.3260 0.8348 0.1652
Zn: 0.6740 0.1652 0.8348
Zn: 0.8348 0.3260 0.6740
Zn: 0.8375 0.8375 0.1625
Sn: 0.3352 0.3352 0.6648
Sn: 0.6648 0.6648 0.3352